The following is a theoretical X-ray diffraction stick pattern of Te2Pb3Br2O6. It was derived from a structure optimized by DFT (PBE), using Cu Kα, 1.54184 Å.
Neutral-atom scattering factors, no anomalous dispersion.

Structural model:
```
Te2Pb3Br2O6
1.0
8.645 -2.880 0.000
8.645 2.880 0.000
-3.030 0.000 10.906
Te Pb Br O
4 6 4 12
Direct
0.100 0.100 0.054
0.370 0.370 0.414
0.630 0.630 0.586
0.900 0.900 0.946
0.165 0.165 0.390
0.242 0.242 0.791
0.476 0.476 0.800
0.524 0.524 0.200
0.758 0.758 0.209
0.835 0.835 0.610
0.041 0.041 0.697
0.317 0.317 0.101
0.683 0.683 0.899
0.959 0.959 0.303
0.051 0.529 0.388
0.101 0.637 0.814
0.214 0.786 0.000
0.363 0.899 0.186
0.391 0.391 0.587
0.471 0.949 0.612
0.529 0.051 0.388
0.609 0.609 0.413
0.637 0.101 0.814
0.786 0.214 0.000
0.899 0.363 0.186
0.949 0.471 0.612
```

Principal peaks in the range 2θ = 5–70°, sorted by position:
Position (°2θ)  I_rel
28.3  996
30.2  1000
30.3  383
31.1  509
43.9  409
51.2  255